The following is a computed XRD peak list of HoSnRu2. It was derived from a cell relaxed with GGA-PBE, using λ = 1.5418 Å (Cu Kα).
Lines closer than 0.1° are merged.

```
HoSnRu2
1.0
6.6023 0.0000 0.0000
0.0000 6.6023 0.0000
0.0000 0.0000 6.6023
Ho Sn Ru
4 4 8
direct
0.0000 0.0000 0.0000
0.0000 0.5000 0.5000
0.5000 0.0000 0.5000
0.5000 0.5000 0.0000
0.0000 0.0000 0.5000
0.0000 0.5000 0.0000
0.5000 0.0000 0.0000
0.5000 0.5000 0.5000
0.2500 0.2500 0.2500
0.2500 0.2500 0.7500
0.2500 0.7500 0.2500
0.2500 0.7500 0.7500
0.7500 0.2500 0.2500
0.7500 0.2500 0.7500
0.7500 0.7500 0.2500
0.7500 0.7500 0.7500
```

Top 10 peaks for 10 to 90 degrees two-theta, by intensity:
- 2θ 38.6, I 100
- 2θ 69.8, I 35
- 2θ 55.7, I 17
- 2θ 82.7, I 11
- 2θ 27.0, I 3
- 2θ 23.3, I 2
- 2θ 63.0, I 1
- 2θ 47.7, I 1
- 2θ 88.9, I 1
- 2θ 45.6, I 1